Structure and computed powder X-ray diffraction pattern of ErZn2SiPd4 (DFT lattice parameters and positions (GGA-PBE); a wavelength of 1.5418 Å).

Cell lengths 4.5034, 4.5034, 21.7889 Å; angles 90.00, 90.00, 120.00 degrees
Space group R-3m (No. 166, hexagonal axes)
Asymmetric unit:
Er  0.0000  0.0000  0.0000
Zn  0.0000  0.0000  0.2563
Si  0.0000  0.0000  0.5000
Pd  0.0000  0.0000  0.1343
Pd  0.0000  0.0000  0.3910

Most intense lines, 10° ≤ 2θ ≤ 90°, by intensity:
index  2θ (°)  d (Å)  Rel. int.
1 1 0  40.04  2.252  100.0
0 1 8  40.39  2.233  74.6
1 0 7  36.95  2.433  27.3
1 2 8  72.98  1.296  25.1
2 0 8  58.18  1.586  25.0
3 0 0  72.74  1.300  16.6
1 1 15  78.33  1.221  16.0
0 1 5  30.77  2.906  15.7
2 2 0  86.43  1.126  10.6
0 2 7  55.62  1.653  8.3

Structure and computed powder X-ray diffraction pattern of ErSn3Pd6 (DFT lattice parameters and positions (GGA-PBE); a wavelength of 1.5418 Å).

Cell lengths 9.2162, 3.8597, 11.2195 Å; angles 90.00, 102.97, 90.00 degrees
Space group P2_1/m (No. 11)
Asymmetric unit:
Er  0.0265  0.2500  0.2322
Sn  0.1270  0.2500  0.5860
Sn  0.2901  0.7500  0.9374
Sn  0.3912  0.2500  0.3170
Pd  0.0972  0.2500  0.9759
Pd  0.1895  0.7500  0.4231
Pd  0.2261  0.7500  0.1704
Pd  0.3057  0.7500  0.7040
Pd  0.4242  0.2500  0.5604
Pd  0.4309  0.2500  0.0850

Most intense lines, 10° ≤ 2θ ≤ 90°, by intensity:
index  2θ (°)  d (Å)  Rel. int.
3 1 0  38.04  2.366  100.0
0 1 4  40.43  2.231  84.4
0 2 0  47.09  1.930  50.5
3 0 -4  39.33  2.291  38.8
3 0 2  37.40  2.404  34.7
0 1 3  33.83  2.650  30.4
1 1 -3  33.67  2.662  29.6
2 1 1  32.81  2.730  23.3
2 1 -4  41.79  2.162  23.2
1 1 -4  39.82  2.264  22.9

Structure and computed powder X-ray diffraction pattern of Er5SnPd2 (DFT lattice parameters and positions (GGA-PBE); a wavelength of 1.5418 Å).

Cell lengths 7.7514, 7.7514, 13.4201 Å; angles 90.00, 90.00, 90.00 degrees
Space group I4/mcm (No. 140)
Asymmetric unit:
Er  0.0000  0.0000  0.0000
Er  0.1574  0.3426  0.1421
Sn  0.0000  0.0000  0.2500
Pd  0.1350  0.3650  0.5000

Most intense lines, 10° ≤ 2θ ≤ 90°, by intensity:
index  2θ (°)  d (Å)  Rel. int.
2 1 3  32.68  2.740  100.0
3 1 0  36.66  2.451  51.3
2 0 4  35.39  2.537  24.1
4 4 0  68.48  1.370  21.8
0 0 8  54.71  1.678  21.0
1 1 4  31.26  2.862  18.7
4 2 0  52.82  1.733  17.9
3 1 8  67.67  1.384  17.6
2 1 11  84.10  1.151  14.2
3 3 4  57.43  1.605  12.9

Structure and computed powder X-ray diffraction pattern of ErSn2Pd7 (DFT lattice parameters and positions (GGA-PBE); a wavelength of 1.5418 Å).

Cell lengths 4.1021, 4.1021, 22.3143 Å; angles 90.00, 90.00, 90.00 degrees
Space group I4/mmm (No. 139)
Asymmetric unit:
Er  0.0000  0.0000  0.0000
Sn  0.0000  0.0000  0.3294
Pd  0.0000  0.0000  0.5000
Pd  0.0000  0.5000  0.0923
Pd  0.0000  0.5000  0.2500

Most intense lines, 10° ≤ 2θ ≤ 90°, by intensity:
index  2θ (°)  d (Å)  Rel. int.
1 1 6  39.40  2.287  100.0
2 0 0  44.16  2.051  37.9
3 1 6  78.01  1.225  27.0
1 0 3  24.79  3.592  22.8
2 0 12  68.06  1.378  17.2
2 2 0  64.22  1.450  12.3
0 0 12  48.99  1.860  11.6
2 2 12  84.77  1.144  9.6
1 1 18  85.11  1.140  7.5
1 1 4  34.86  2.574  6.8

Structure and computed powder X-ray diffraction pattern of ErSn2Pd9 (DFT lattice parameters and positions (GGA-PBE); a wavelength of 1.5418 Å).

Cell lengths 4.0729, 4.0729, 12.1192 Å; angles 90.00, 90.00, 90.00 degrees
Space group P4/mmm (No. 123)
Asymmetric unit:
Er  0.0000  0.0000  0.0000
Sn  0.0000  0.0000  0.3343
Pd  0.0000  0.5000  0.1714
Pd  0.0000  0.5000  0.5000
Pd  0.5000  0.5000  0.0000
Pd  0.5000  0.5000  0.3364

Most intense lines, 10° ≤ 2θ ≤ 90°, by intensity:
index  2θ (°)  d (Å)  Rel. int.
1 1 3  38.39  2.345  100.0
2 0 0  44.49  2.036  32.9
3 1 3  77.84  1.227  25.1
2 0 6  65.04  1.434  20.8
0 0 6  44.87  2.020  15.9
1 1 9  78.39  1.220  12.0
2 2 6  82.22  1.173  10.8
2 2 0  64.74  1.440  10.7
1 0 0  21.82  4.073  0.7
1 0 3  31.18  2.868  0.6

Structure and computed powder X-ray diffraction pattern of Er3Sn3Pd (DFT lattice parameters and positions (GGA-PBE); a wavelength of 1.5418 Å).

Cell lengths 11.1247, 4.4825, 14.7430 Å; angles 90.00, 108.56, 90.00 degrees
Space group C2/m (No. 12)
Asymmetric unit:
Er  0.0286  0.0000  0.3812
Er  0.0964  0.0000  0.9218
Er  0.2334  0.0000  0.2309
Sn  0.0162  0.5000  0.2330
Sn  0.1311  0.5000  0.0757
Sn  0.1395  0.5000  0.5447
Pd  0.2339  0.5000  0.3864

Most intense lines, 10° ≤ 2θ ≤ 90°, by intensity:
index  2θ (°)  d (Å)  Rel. int.
1 1 -4  31.41  2.848  100.0
3 1 2  37.86  2.376  70.9
1 1 3  30.68  2.914  54.1
0 2 0  40.24  2.241  52.4
4 0 -2  32.25  2.776  42.0
3 1 -4  36.01  2.494  37.9
4 2 -2  52.48  1.744  27.7
0 2 6  57.06  1.614  20.9
0 0 6  38.65  2.329  20.7
7 1 -3  61.95  1.498  17.5